Entry 1:
The following is a calculated X-ray diffraction stick pattern of AlSb. It was derived from DFT lattice parameters and positions (GGA-PBE), using CuKα.

Cell and atoms:
```
data_AlSb
_chemical_formula_sum 'Al2 Sb2'
_space_group_name_H-M_alt 'I -4 m 2'
_space_group_IT_number 119
_space_group_name_Hall 'I -4 -2'
_cell_length_a 5.435
_cell_length_b 5.435
_cell_length_c 3.200
_cell_angle_alpha 90.00
_cell_angle_beta 90.00
_cell_angle_gamma 90.00
loop_
_atom_site_label
_atom_site_type_symbol
_atom_site_fract_x
_atom_site_fract_y
_atom_site_fract_z
Al1 Al 0.000 0.000 0.000
Sb1 Sb 0.000 0.500 0.250
```

Principal peaks in the range 2θ from 10° to 90°, sorted by position:
- 3.843 Å, I = 67
- 2.758 Å, I = 100
- 2.718 Å, I = 69
- 1.936 Å, I = 70
- 1.922 Å, I = 24
- 1.577 Å, I = 18
- 1.477 Å, I = 21
- 1.364 Å, I = 22
- 1.219 Å, I = 15
- 1.171 Å, I = 19

Entry 2:
The following is a calculated X-ray diffraction stick pattern of Sr2Ti2Bi2OF2. It was derived from DFT lattice parameters and positions (GGA-PBE), using CuKα.

Cell and atoms:
```
data_Sr2Ti2Bi2OF2
_chemical_formula_sum 'Sr4 Ti4 Bi4 O2 F4'
_space_group_name_H-M_alt 'I 4/m m m'
_space_group_IT_number 139
_space_group_name_Hall '-I 4 2'
_cell_length_a 4.125
_cell_length_b 4.125
_cell_length_c 22.068
_cell_angle_alpha 90.00
_cell_angle_beta 90.00
_cell_angle_gamma 90.00
loop_
_atom_site_label
_atom_site_type_symbol
_atom_site_fract_x
_atom_site_fract_y
_atom_site_fract_z
Sr1 Sr 0.000 0.000 0.186
Ti1 Ti 0.000 0.500 0.000
Bi1 Bi 0.000 0.000 0.403
O1 O 0.000 0.000 0.000
F1 F 0.000 0.500 0.250
```

Principal peaks in the range 2θ from 10° to 90°, sorted by position:
- 4.055 Å, I = 37
- 3.014 Å, I = 100
- 2.917 Å, I = 29
- 2.579 Å, I = 38
- 2.108 Å, I = 14
- 2.062 Å, I = 27
- 1.838 Å, I = 12
- 1.760 Å, I = 14
- 1.702 Å, I = 38
- 1.507 Å, I = 13